This entry pairs a crystal structure of SrCaCeFeO6 with its theoretical powder X-ray diffraction pattern. Radiation: Cu Kα. Structure: a structure optimized by DFT (PBE+U).
Kinematic intensities with the Lorentz-polarization factor, no thermal factor.

Structural model:
Cell lengths 8.2541, 8.2541, 8.2541 Å; angles 90.00, 90.00, 90.00 degrees
Space group F-43m (No. 216)
One atom of each set of equivalent atoms:
1 Sr 0.0000 0.0000 0.0000 (multiplicity 4)
2 Ca 0.0000 0.0000 0.5000 (multiplicity 4)
3 Ce 0.2500 0.2500 0.7500 (multiplicity 4)
4 Fe 0.2500 0.2500 0.2500 (multiplicity 4)
5 O 0.0133 0.2500 0.2500 (multiplicity 24)

Principal peaks in the range 10 to 80 degrees two-theta, in order of rising 2θ:
(hkl)  Position (°2θ)  intensity
1 1 1  18.62  17
2 0 0  21.53  15
2 2 0  30.64  100
3 1 1  36.09  13
4 0 0  43.87  37
3 3 1  48.05  7
4 2 0  49.38  6
4 2 2  54.46  39
4 4 0  63.79  22
6 2 0  72.41  17